[1]
Calculated PXRD pattern of BaZnCO3F2 for Cu Kα, 1.54184 Å, from a structure optimized by DFT (PBE).
Lines closer than 0.1° are merged.

```
16
Lattice="4.920 0.000 0.000 -2.460 4.261 0.000 0.000 0.000 10.134" Properties=species:S:1:pos:R:3 pbc="T T T"
Ba 0.000 0.000 0.000
Ba 0.000 0.000 5.067
Zn 0.000 2.841 2.533
Zn 2.460 1.420 7.600
C 0.000 2.841 7.600
C 2.460 1.420 2.533
O -0.426 1.616 7.600
O -0.848 3.822 7.600
O 1.187 1.177 2.533
O 1.273 3.084 7.600
O 3.308 0.439 2.533
O 2.886 2.645 2.533
F 0.000 2.841 0.486
F 0.000 2.841 4.581
F 2.460 1.420 5.552
F 2.460 1.420 9.648
```

Main lines, low angle first (15° ≤ 2θ ≤ 90°):
| h k l | 2theta | Rel. int. |
| --- | --- | --- |
| 1 0 0 | 20.8 | 17 |
| 1 0 1 | 22.6 | 13 |
| 1 0 2 | 27.3 | 100 |
| 0 0 4 | 35.4 | 26 |
| 1 1 0 | 36.5 | 51 |
| 1 1 2 | 40.8 | 13 |
| 2 0 2 | 46.2 | 26 |
| 1 1 4 | 51.8 | 29 |
| 1 0 6 | 58.8 | 14 |
| 2 1 2 | 60.3 | 19 |

[2]
Calculated PXRD pattern of Ba10Ge3C3O26 for Cu Kα, 1.54184 Å, from a structure optimized by DFT (PBE).
Lines closer than 0.1° are merged.

```
42
Lattice="7.877 0.000 0.000 0.004 10.347 0.000 0.004 5.126 9.006" Properties=species:S:1:pos:R:3 pbc="T T T"
Ba 0.000 0.000 0.000
Ba 0.012 3.595 2.574
Ba 0.019 9.195 7.127
Ba 2.016 7.758 3.219
Ba 2.038 12.883 6.224
Ba 3.961 11.552 2.414
Ba 3.969 6.494 6.962
Ba 3.989 5.137 0.300
Ba 5.906 12.863 6.222
Ba 5.913 7.727 3.232
Ge 3.928 4.320 3.768
Ge 3.939 9.890 5.926
Ge 3.940 14.108 8.993
C 0.009 10.652 3.669
C 0.008 5.908 5.569
C 7.874 6.656 0.476
O 0.027 9.458 4.356
O 0.028 7.847 1.176
O 0.052 5.923 4.187
O 0.428 2.564 0.214
O 1.090 10.694 2.778
O 1.096 5.889 0.863
O 1.126 6.610 6.004
O 2.504 3.366 3.292
O 2.515 15.002 8.416
O 2.521 9.952 6.994
O 3.938 5.908 3.001
O 3.946 8.430 4.933
O 3.953 8.842 1.747
O 3.977 11.410 5.006
O 3.984 4.322 5.544
O 3.983 12.561 8.117
O 4.685 2.577 0.241
O 5.367 3.384 3.270
O 5.378 14.996 8.415
O 5.386 9.951 6.970
O 6.773 6.587 6.038
O 6.801 5.865 0.886
O 6.815 10.708 2.772
O 7.871 4.630 6.094
O 7.873 11.993 8.124
O 7.877 11.727 4.528
```

Main lines, low angle first (15° ≤ 2θ ≤ 90°):
| h k l | 2theta | Rel. int. |
| --- | --- | --- |
| 2 -1 0 | 24.7 | 38 |
| 0 2 -1 | 26.2 | 24 |
| 2 1 -1 | 28.5 | 100 |
| 1 1 3 | 28.6 | 62 |
| -1 3 2 | 28.7 | 50 |
| 0 3 0 | 29.8 | 39 |
| 0 3 3 | 29.9 | 19 |
| -2 2 4 | 41.8 | 25 |
| 3 1 3 | 43.6 | 27 |
| 0 4 5 | 46.5 | 28 |

[3]
Calculated PXRD pattern of BaH8C6N6O8 for Cu Kα, 1.54184 Å, from a structure optimized by DFT (PBE).
Lines closer than 0.1° are merged.

```
58
Lattice="7.444 0.000 0.000 2.106 8.840 0.000 1.272 0.566 9.419" Properties=species:S:1:pos:R:3 pbc="T T T"
Ba 2.035 2.330 4.702
Ba 8.786 7.076 4.717
H 1.896 6.219 0.354
H 1.414 0.705 0.478
H 3.140 4.909 2.630
H 4.179 8.141 2.937
H 3.772 4.854 4.095
H 4.709 7.827 4.359
H 5.035 3.512 8.134
H 4.039 2.477 1.186
H 6.783 6.929 8.233
H 5.786 5.894 1.284
H 6.112 1.579 5.060
H 7.050 4.552 5.324
H 6.642 1.265 6.482
H 7.681 4.497 6.789
H 9.408 8.701 8.940
H 8.925 3.187 9.065
C 2.950 6.581 7.670
C 2.626 1.172 7.784
C 4.177 5.092 9.139
C 3.997 4.706 6.742
C 5.820 8.435 9.265
C 5.909 8.233 6.833
C 4.912 1.172 2.586
C 5.001 0.971 0.154
C 6.824 4.699 2.677
C 6.644 4.314 0.280
C 8.196 8.234 1.634
C 7.871 2.825 1.748
N 3.411 6.208 8.934
N 3.261 5.834 6.597
N 2.946 0.709 9.056
N 3.049 0.504 6.697
N 4.469 4.375 8.017
N 6.240 7.805 8.125
N 4.582 1.601 1.294
N 6.352 5.031 1.402
N 7.773 8.902 2.722
N 7.875 8.697 0.362
N 7.560 3.572 2.822
N 7.410 3.197 0.485
O 1.932 2.222 7.668
O 1.140 1.787 1.859
O 2.939 4.997 3.589
O 3.973 8.276 3.888
O 3.297 4.187 0.859
O 4.273 3.938 5.790
O 4.838 7.471 0.993
O 4.502 1.846 3.560
O 6.319 7.560 5.858
O 5.984 1.935 8.425
O 6.548 5.468 3.628
O 7.524 5.219 8.560
O 6.848 1.130 5.531
O 7.883 4.409 5.830
O 9.681 7.619 7.560
O 8.890 7.184 1.751
```

Main lines, low angle first (15° ≤ 2θ ≤ 90°):
| h k l | 2theta | Rel. int. |
| --- | --- | --- |
| 1 0 -1 | 16.4 | 77 |
| 0 0 2 | 18.8 | 34 |
| 1 -1 1 | 19.5 | 33 |
| 0 2 1 | 21.7 | 33 |
| 1 2 1 | 22.1 | 51 |
| 0 2 -1 | 22.8 | 30 |
| 2 2 0 | 28.3 | 100 |
| 2 -1 0 | 28.8 | 44 |
| 1 0 3 | 29.7 | 29 |
| 0 2 3 | 34.0 | 32 |